1.
Starting from a GGA-PBE-relaxed structure, the X-ray powder pattern of EuTm2Se4 was simulated for Cu Kα X-rays.
Intensities are scaled so that the largest is 100.

Atomic structure:
```
data_EuTm2Se4
_space_group_name_H-M_alt 'P n m a'
_space_group_IT_number 62
_space_group_name_Hall '-P 2ac 2n'
_cell_length_a 12.459
_cell_length_b 4.085
_cell_length_c 14.786
_cell_angle_alpha 90.00
_cell_angle_beta 90.00
_cell_angle_gamma 90.00
loop_
_atom_site_label
_atom_site_type_symbol
_atom_site_fract_x
_atom_site_fract_y
_atom_site_fract_z
_atom_site_occupancy
Eu1 Eu 0.240 0.250 0.166 1
Tm1 Tm 0.063 0.250 0.389 1
Tm2 Tm 0.083 0.250 0.902 1
Se1 Se 0.027 0.750 0.784 1
Se2 Se 0.091 0.250 0.578 1
Se3 Se 0.131 0.750 0.031 1
Se4 Se 0.206 0.750 0.328 1
```

The 12 most intense peaks (5° ≤ 2θ ≤ 70°), in order of falling intensity:
35.80°, d 2.508, I 100.0, hkl 2 1 4
24.59°, d 3.621, I 97.4, hkl 3 0 2
29.29°, d 3.049, I 95.9, hkl 1 1 3
44.33°, d 2.043, I 91.4, hkl 0 2 0
25.92°, d 3.437, I 60.5, hkl 1 1 2
31.14°, d 2.872, I 49.6, hkl 4 0 2
24.08°, d 3.696, I 47.9, hkl 0 0 4
36.27°, d 2.477, I 45.7, hkl 4 1 0
39.32°, d 2.291, I 44.5, hkl 2 0 6
31.30°, d 2.858, I 43.8, hkl 3 1 1
44.01°, d 2.058, I 43.7, hkl 4 1 4
33.48°, d 2.677, I 40.4, hkl 1 1 4

2.
Starting from a GGA-PBE-relaxed structure, the X-ray powder pattern of Ho4BClO7 was simulated for Cu Kα X-rays.
Intensities are scaled so that the largest is 100.

Atomic structure:
```
data_Ho4BClO7
_space_group_name_H-M_alt 'P 1 21/c 1'
_space_group_IT_number 14
_space_group_name_Hall '-P 2ybc'
_cell_length_a 8.596
_cell_length_b 8.037
_cell_length_c 12.247
_cell_angle_alpha 90.00
_cell_angle_beta 120.01
_cell_angle_gamma 90.00
loop_
_atom_site_label
_atom_site_type_symbol
_atom_site_fract_x
_atom_site_fract_y
_atom_site_fract_z
_atom_site_occupancy
Ho1 Ho 0.070 0.138 0.419 1
Ho2 Ho 0.076 0.617 0.409 1
Ho3 Ho 0.298 0.126 0.779 1
Ho4 Ho 0.317 0.615 0.779 1
B1 B 0.369 0.130 0.086 1
Cl1 Cl 0.381 0.648 0.032 1
O1 O 0.041 0.122 0.597 1
O2 O 0.072 0.622 0.593 1
O3 O 0.179 0.117 0.282 1
O4 O 0.191 0.637 0.275 1
O5 O 0.274 0.111 0.957 1
O6 O 0.387 0.212 0.635 1
O7 O 0.435 0.506 0.665 1
```

The 12 most intense peaks (5° ≤ 2θ ≤ 70°), in order of falling intensity:
30.67°, d 2.915, I 100.0, hkl 2 2 -1
30.05°, d 2.974, I 61.8, hkl 2 0 -4
33.77°, d 2.654, I 60.1, hkl 0 2 3
25.02°, d 3.559, I 40.1, hkl 1 0 2
24.57°, d 3.623, I 38.8, hkl 1 2 -1
51.68°, d 1.769, I 34.4, hkl 4 2 -5
11.89°, d 7.444, I 28.4, hkl 1 0 0
47.35°, d 1.920, I 26.3, hkl 3 2 1
31.24°, d 2.863, I 24.4, hkl 3 0 -2
45.13°, d 2.009, I 23.1, hkl 0 4 0
35.74°, d 2.512, I 23.0, hkl 2 0 2
55.17°, d 1.665, I 21.5, hkl 2 4 -4

3.
Starting from a GGA-PBE-relaxed structure, the X-ray powder pattern of Li3BiO4 was simulated for Cu Kα X-rays.
Intensities are scaled so that the largest is 100.

Atomic structure:
```
data_Li3BiO4
_space_group_name_H-M_alt 'P 42/m n m'
_space_group_IT_number 136
_space_group_name_Hall '-P 4n 2n'
_cell_length_a 8.868
_cell_length_b 8.868
_cell_length_c 4.309
_cell_angle_alpha 90.00
_cell_angle_beta 90.00
_cell_angle_gamma 90.00
loop_
_atom_site_label
_atom_site_type_symbol
_atom_site_fract_x
_atom_site_fract_y
_atom_site_fract_z
_atom_site_occupancy
Li1 Li 0.105 0.388 0.000 1
Li2 Li 0.130 0.870 0.000 1
Bi1 Bi 0.134 0.134 0.500 1
O1 O 0.113 0.887 0.500 1
O2 O 0.121 0.367 0.500 1
O3 O 0.124 0.124 0.000 1
```

The 12 most intense peaks (5° ≤ 2θ ≤ 70°), in order of falling intensity:
22.42°, d 3.966, I 100.0, hkl 2 1 0
22.95°, d 3.875, I 76.3, hkl 1 0 1
14.12°, d 6.271, I 49.5, hkl 1 1 0
25.08°, d 3.551, I 44.3, hkl 1 1 1
40.70°, d 2.217, I 37.3, hkl 4 0 0
35.41°, d 2.535, I 32.9, hkl 2 2 1
36.87°, d 2.438, I 32.1, hkl 3 0 1
48.06°, d 1.893, I 27.7, hkl 2 1 2
56.07°, d 1.640, I 23.0, hkl 4 3 1
59.86°, d 1.545, I 22.7, hkl 4 0 2
47.23°, d 1.924, I 22.0, hkl 4 1 1
31.91°, d 2.804, I 21.9, hkl 3 1 0

4.
Starting from a GGA-PBE-relaxed structure, the X-ray powder pattern of Gd2HgO4 was simulated for Cu Kα X-rays.
Intensities are scaled so that the largest is 100.

Atomic structure:
```
data_Gd2HgO4
_space_group_name_H-M_alt 'C 1 2/m 1'
_space_group_IT_number 12
_space_group_name_Hall '-C 2y'
_cell_length_a 13.809
_cell_length_b 3.709
_cell_length_c 10.234
_cell_angle_alpha 90.00
_cell_angle_beta 122.05
_cell_angle_gamma 90.00
loop_
_atom_site_label
_atom_site_type_symbol
_atom_site_fract_x
_atom_site_fract_y
_atom_site_fract_z
_atom_site_occupancy
Gd1 Gd 0.120 0.000 0.461 1
Gd2 Gd 0.159 0.500 0.799 1
Hg1 Hg 0.114 0.500 0.161 1
O1 O 0.035 0.500 0.281 1
O2 O 0.082 0.000 0.653 1
O3 O 0.203 0.500 0.056 1
O4 O 0.231 0.500 0.611 1
```

The 12 most intense peaks (5° ≤ 2θ ≤ 70°), in order of falling intensity:
32.13°, d 2.786, I 100.0, hkl 3 1 -2
30.55°, d 2.926, I 67.4, hkl 4 0 0
35.22°, d 2.548, I 63.9, hkl 1 1 2
30.93°, d 2.891, I 62.7, hkl 0 0 3
28.75°, d 3.105, I 58.4, hkl 1 1 1
51.17°, d 1.785, I 51.4, hkl 3 1 -5
38.51°, d 2.337, I 45.3, hkl 3 1 1
25.64°, d 3.475, I 42.8, hkl 1 1 -1
29.76°, d 3.002, I 42.2, hkl 4 0 -3
53.19°, d 1.722, I 41.5, hkl 7 1 -2
26.16°, d 3.407, I 36.6, hkl 2 0 -3
58.10°, d 1.588, I 33.2, hkl 7 1 -5

5.
Starting from a GGA-PBE-relaxed structure, the X-ray powder pattern of SmMgS3 was simulated for Cu Kα X-rays.
Intensities are scaled so that the largest is 100.

Atomic structure:
```
data_SmMgS3
_space_group_name_H-M_alt 'C 1 2/m 1'
_space_group_IT_number 12
_space_group_name_Hall '-C 2y'
_cell_length_a 7.893
_cell_length_b 11.481
_cell_length_c 6.823
_cell_angle_alpha 90.00
_cell_angle_beta 118.66
_cell_angle_gamma 90.00
loop_
_atom_site_label
_atom_site_type_symbol
_atom_site_fract_x
_atom_site_fract_y
_atom_site_fract_z
_atom_site_occupancy
Sm1 Sm 0.216 0.000 0.257 1
Mg1 Mg 0.000 0.340 0.000 1
S1 S 0.076 0.500 0.284 1
S2 S 0.080 0.153 0.854 1
```

The 12 most intense peaks (5° ≤ 2θ ≤ 70°), in order of falling intensity:
16.15°, d 5.488, I 100.0, hkl 1 1 -1
15.44°, d 5.740, I 76.6, hkl 0 2 0
27.33°, d 3.264, I 45.5, hkl 1 3 -1
35.19°, d 2.550, I 35.6, hkl 3 1 -1
33.77°, d 2.654, I 34.8, hkl 0 2 2
30.14°, d 2.965, I 27.1, hkl 2 2 0
33.55°, d 2.671, I 26.5, hkl 1 3 1
25.10°, d 3.547, I 23.1, hkl 1 1 1
41.39°, d 2.181, I 22.4, hkl 1 1 -3
43.27°, d 2.091, I 21.2, hkl 3 3 -2
29.85°, d 2.993, I 20.8, hkl 0 0 2
59.11°, d 1.563, I 17.5, hkl 1 3 3

6.
Starting from a GGA-PBE-relaxed structure, the X-ray powder pattern of CaHf8N8O4 was simulated for Cu Kα X-rays.
Intensities are scaled so that the largest is 100.

Atomic structure:
```
data_CaHf8N8O4
_space_group_name_H-M_alt 'P 1'
_space_group_IT_number 1
_space_group_name_Hall 'P 1'
_cell_length_a 5.448
_cell_length_b 5.591
_cell_length_c 10.291
_cell_angle_alpha 92.32
_cell_angle_beta 90.16
_cell_angle_gamma 118.87
loop_
_atom_site_label
_atom_site_type_symbol
_atom_site_fract_x
_atom_site_fract_y
_atom_site_fract_z
_atom_site_occupancy
Ca1 Ca 0.000 0.000 0.000 1
Hf1 Hf 0.285 0.605 0.415 1
Hf2 Hf 0.302 0.648 0.826 1
Hf3 Hf 0.351 0.685 0.125 1
Hf4 Hf 0.625 0.297 0.859 1
Hf5 Hf 0.653 0.315 0.154 1
Hf6 Hf 0.653 0.332 0.565 1
Hf7 Hf 0.936 0.990 0.323 1
Hf8 Hf 0.990 0.988 0.631 1
N1 N 0.017 0.392 0.252 1
N2 N 0.254 0.262 0.491 1
N3 N 0.312 0.998 0.734 1
N4 N 0.408 0.439 0.980 1
N5 N 0.552 0.995 0.980 1
N6 N 0.591 0.610 0.260 1
N7 N 0.941 0.323 0.725 1
N8 N 0.953 0.676 0.486 1
O1 O 0.235 0.995 0.199 1
O2 O 0.626 0.629 0.721 1
O3 O 0.649 0.990 0.478 1
O4 O 0.982 0.574 0.984 1
```

The 12 most intense peaks (5° ≤ 2θ ≤ 70°), in order of falling intensity:
31.90°, d 2.805, I 100.0, hkl 1 1 0
32.06°, d 2.792, I 56.7, hkl 1 -2 0
32.88°, d 2.724, I 50.4, hkl 2 -1 0
31.76°, d 2.817, I 42.6, hkl 1 0 -3
32.61°, d 2.746, I 38.7, hkl 0 1 3
46.98°, d 1.934, I 37.0, hkl 2 0 3
20.75°, d 4.280, I 25.3, hkl -1 1 1
44.48°, d 2.037, I 19.9, hkl 0 2 -3
49.11°, d 1.855, I 18.5, hkl -1 2 4
58.00°, d 1.590, I 17.0, hkl 3 0 0
48.65°, d 1.872, I 13.3, hkl -2 1 4
57.90°, d 1.593, I 12.9, hkl -3 1 3

7.
Starting from a GGA-PBE-relaxed structure, the X-ray powder pattern of TbSbIr was simulated for Cu Kα X-rays.
Intensities are scaled so that the largest is 100.

Atomic structure:
```
data_TbSbIr
_space_group_name_H-M_alt 'P n m a'
_space_group_IT_number 62
_space_group_name_Hall '-P 2ac 2n'
_cell_length_a 7.230
_cell_length_b 4.532
_cell_length_c 7.948
_cell_angle_alpha 90.00
_cell_angle_beta 90.00
_cell_angle_gamma 90.00
loop_
_atom_site_label
_atom_site_type_symbol
_atom_site_fract_x
_atom_site_fract_y
_atom_site_fract_z
_atom_site_occupancy
Tb1 Tb 0.014 0.250 0.191 1
Sb1 Sb 0.176 0.250 0.588 1
Ir1 Ir 0.208 0.750 0.411 1
```

The 12 most intense peaks (5° ≤ 2θ ≤ 70°), in order of falling intensity:
33.66°, d 2.663, I 100.0, hkl 2 1 1
39.40°, d 2.287, I 64.0, hkl 0 1 3
32.42°, d 2.761, I 60.6, hkl 1 1 2
39.78°, d 2.266, I 47.8, hkl 0 2 0
39.06°, d 2.306, I 34.0, hkl 3 0 1
33.51°, d 2.674, I 32.9, hkl 2 0 2
64.13°, d 1.452, I 26.5, hkl 3 1 4
56.97°, d 1.616, I 22.4, hkl 3 2 1
52.97°, d 1.729, I 18.0, hkl 2 2 2
47.02°, d 1.933, I 15.0, hkl 2 1 3
68.33°, d 1.373, I 12.9, hkl 2 3 1
25.77°, d 3.457, I 12.1, hkl 1 1 1

8.
Starting from a GGA-PBE-relaxed structure, the X-ray powder pattern of TaCoB was simulated for Cu Kα X-rays.
Intensities are scaled so that the largest is 100.

Atomic structure:
```
data_TaCoB
_space_group_name_H-M_alt 'P m m n'
_space_group_IT_number 59
_cell_length_a 3.283
_cell_length_b 16.977
_cell_length_c 5.891
_cell_angle_alpha 90.00
_cell_angle_beta 90.00
_cell_angle_gamma 90.00
loop_
_space_group_symop_operation_xyz
'x,y,z'
'-x,-y,-z'
'-x+1/2,-y+1/2,z'
'x+1/2,y+1/2,-z'
'x+1/2,-y,-z'
'-x+1/2,y,z'
'-x,y+1/2,-z'
'x,-y+1/2,z'
loop_
_atom_site_label
_atom_site_type_symbol
_atom_site_fract_x
_atom_site_fract_y
_atom_site_fract_z
_atom_site_occupancy
Ta1 Ta 0.250 0.071 0.028 1
Ta2 Ta 0.250 0.125 0.522 1
Ta3 Ta 0.250 0.250 0.144 1
Co1 Co 0.250 0.524 0.645 1
Co2 Co 0.250 0.679 0.150 1
Co3 Co 0.250 0.750 0.506 1
B1 B 0.250 0.250 0.731 1
B2 B 0.250 0.549 0.268 1
B3 B 0.250 0.650 0.771 1
```

The 12 most intense peaks (5° ≤ 2θ ≤ 70°), in order of falling intensity:
41.19°, d 2.191, I 100.0, hkl 1 5 1
44.32°, d 2.044, I 53.6, hkl 1 3 2
30.36°, d 2.944, I 36.6, hkl 0 0 2
27.67°, d 3.224, I 24.2, hkl 1 1 0
45.43°, d 1.997, I 23.2, hkl 0 8 1
31.50°, d 2.840, I 22.7, hkl 1 3 0
56.01°, d 1.642, I 18.2, hkl 2 0 0
46.56°, d 1.951, I 17.0, hkl 1 7 0
47.53°, d 1.913, I 14.1, hkl 0 2 3
37.16°, d 2.420, I 13.2, hkl 0 4 2
41.53°, d 2.174, I 12.8, hkl 1 1 2
69.11°, d 1.359, I 12.1, hkl 1 11 1

9.
Starting from a GGA-PBE-relaxed structure, the X-ray powder pattern of Sr2CaI6 was simulated for Cu Kα X-rays.
Intensities are scaled so that the largest is 100.

Atomic structure:
```
data_Sr2CaI6
_space_group_name_H-M_alt 'P b c n'
_space_group_IT_number 60
_space_group_name_Hall '-P 2n 2ab'
_cell_length_a 22.285
_cell_length_b 9.193
_cell_length_c 8.153
_cell_angle_alpha 90.00
_cell_angle_beta 90.00
_cell_angle_gamma 90.00
loop_
_atom_site_label
_atom_site_type_symbol
_atom_site_fract_x
_atom_site_fract_y
_atom_site_fract_z
_atom_site_occupancy
Sr1 Sr 0.162 0.146 0.235 1
Ca1 Ca 0.000 0.361 0.750 1
I1 I 0.080 0.120 0.573 1
I2 I 0.081 0.405 0.062 1
I3 I 0.243 0.118 0.898 1
```

The 12 most intense peaks (5° ≤ 2θ ≤ 70°), in order of falling intensity:
25.27°, d 3.525, I 100.0, hkl 3 2 1
24.92°, d 3.574, I 48.5, hkl 3 0 2
32.89°, d 2.723, I 37.7, hkl 6 2 1
38.48°, d 2.339, I 32.5, hkl 0 2 3
32.62°, d 2.746, I 23.7, hkl 6 0 2
42.95°, d 2.106, I 22.7, hkl 9 2 1
23.96°, d 3.714, I 19.3, hkl 6 0 0
39.20°, d 2.298, I 15.1, hkl 0 4 0
47.01°, d 1.933, I 14.2, hkl 3 4 2
64.02°, d 1.454, I 14.1, hkl 12 2 3
18.82°, d 4.714, I 13.1, hkl 3 1 1
42.71°, d 2.117, I 13.0, hkl 9 0 2